For In3Ag, a crystal structure in the Materials Project, relaxed with GGA-PBE gives the calculated X-ray diffraction stick pattern in this record (copper Kα).

Cell and atoms:
```
In3Ag
1.0
6.5691 0.0000 0.0000
-3.2846 5.6890 0.0000
0.0000 0.0000 5.3214
In Ag
6 2
Cartesian
0.0000 1.9512 1.3304
-1.5947 4.7134 1.3304
1.6898 0.9756 3.9911
1.5948 4.7134 1.3304
4.8793 0.9756 3.9911
3.2845 3.7378 3.9911
0.0000 3.7927 3.9911
3.2846 1.8963 1.3304
```

Top 12 peaks for 15° ≤ 2θ ≤ 90°, sorted by position:
2θ (°)	I_rel
31.45	24
33.68	26
35.79	100
46.75	15
55.99	17
61.62	19
66.96	20
68.26	14
70.83	3
75.85	3
79.54	3
88.02	7

For Nb4C3, a crystal structure in the Materials Project, relaxed with GGA-PBE gives the calculated X-ray diffraction stick pattern in this record (copper Kα).

Cell and atoms:
```
Nb4C3
1.0
1.5780 0.9110 10.2890
-1.5780 0.9110 10.2890
0.0000 -1.8221 10.2890
Nb C
4 3
Cartesian
0.0000 0.0000 0.0000
0.0000 0.0000 5.0846
0.0000 0.0000 17.8802
0.0000 0.0000 23.1085
0.0000 0.0000 8.9315
0.0000 0.0000 11.6618
0.0000 0.0000 26.8676
```

Top 12 peaks for 15° ≤ 2θ ≤ 90°, sorted by position:
2θ (°)	I_rel
33.29	25
34.87	55
35.93	100
38.76	92
44.26	20
53.39	12
58.50	45
61.29	22
67.01	16
69.94	37
70.59	13
72.40	14

For Si2Ni7P5, a crystal structure in the Materials Project, relaxed with GGA-PBE gives the calculated X-ray diffraction stick pattern in this record (copper Kα).

Cell and atoms:
```
Si2Ni7P5
1.0
23.9375 0.0000 0.0000
0.0000 5.9228 0.0000
0.0000 0.0000 4.9135
Si Ni P
8 28 20
Cartesian
5.1948 0.9433 1.0784
5.1948 4.9795 3.5352
6.7739 2.0181 3.5352
6.7739 3.9048 1.0784
17.1635 2.0181 3.8351
17.1635 3.9048 1.3784
18.7426 0.9433 1.3784
18.7426 4.9795 3.8351
0.0000 0.0000 0.0000
0.0000 0.0000 2.4568
1.7659 2.7105 2.4634
1.7659 3.2123 0.0066
3.3474 0.2995 2.4252
3.3474 5.6234 4.8819
4.9241 2.7607 2.4613
4.9241 3.1621 0.0046
7.0446 0.2007 0.0046
7.0446 5.7222 2.4613
8.6213 2.6619 4.8819
8.6213 3.2609 2.4252
10.2029 0.2509 0.0066
10.2029 5.6719 2.4634
11.9687 2.9614 0.0000
11.9687 2.9614 2.4568
13.7346 0.2509 2.4501
13.7346 5.6719 4.9069
15.3161 2.6619 2.4883
15.3161 3.2609 0.0316
16.8928 0.2007 2.4522
16.8928 5.7222 4.9089
19.0134 2.7607 4.9089
19.0134 3.1621 2.4522
20.5901 0.2995 0.0316
20.5901 5.6234 2.4883
22.1716 2.7105 4.9069
22.1716 3.2123 2.4501
0.0000 1.9627 3.6851
0.0000 3.9602 1.2284
1.7291 1.0487 0.9452
1.7291 4.8741 3.4019
3.4029 1.8638 3.9917
3.4029 4.0591 1.5350
8.5658 1.0976 1.5350
8.5658 4.8252 3.9917
10.2397 1.9127 3.4019
10.2397 4.0101 0.9452
11.9687 0.9988 1.2284
11.9687 4.9241 3.6851
13.6978 1.9127 3.9683
13.6978 4.0101 1.5116
15.3717 1.0976 0.9218
15.3717 4.8252 3.3785
20.5345 1.8638 3.3785
20.5345 4.0591 0.9218
22.2084 1.0487 1.5116
22.2084 4.8741 3.9683
```

Top 12 peaks for 15° ≤ 2θ ≤ 90°, sorted by position:
2θ (°)	I_rel
30.18	76
35.39	29
36.58	12
40.24	12
48.12	100
49.67	10
50.39	12
53.60	44
66.64	5
74.87	17
84.53	5
85.60	9